For K2PbCl6, a crystal structure in the Materials Project, relaxed with PBE gives the calculated PXRD pattern in this record (Cu Kα X-rays).
Intensities are scaled so that the largest is 100.

Structure:
Unit cell a=7.346 b=7.354 c=12.703 alpha=90.00 beta=124.80 gamma=90.00
Space group P2_1/c (No. 14)
One atom of each set of equivalent atoms:
K  0.236  0.040  0.245
Pb  0.500  0.000  0.000
Cl  0.194  0.207  0.975
Cl  0.274  0.717  0.978
Cl  0.304  0.003  0.756

Largest 10 diffraction maxima, low angle first, 5° ≤ 2θ ≤ 70°:
- (0 1 1), 2θ = 14.72°, d = 6.017 Å, intensity 100
- (1 0 -2), 2θ = 14.81°, d = 5.980 Å, intensity 34
- (0 0 2), 2θ = 17.04°, d = 5.203 Å, intensity 57
- (1 1 1), 2θ = 24.10°, d = 3.693 Å, intensity 20
- (0 2 0), 2θ = 24.24°, d = 3.672 Å, intensity 43
- (1 0 -4), 2θ = 28.45°, d = 3.137 Å, intensity 61
- (0 0 4), 2θ = 34.39°, d = 2.608 Å, intensity 22
- (2 2 -2), 2θ = 34.52°, d = 2.598 Å, intensity 39
- (1 3 -1), 2θ = 38.75°, d = 2.324 Å, intensity 23
- (2 3 -1), 2θ = 45.25°, d = 2.004 Å, intensity 20

For K2PuCl6, a crystal structure in the Materials Project, relaxed with PBE gives the calculated PXRD pattern in this record (Cu Kα X-rays).
Intensities are scaled so that the largest is 100.

Structure:
Unit cell a=12.812 b=7.444 c=7.457 alpha=90.00 beta=125.35 gamma=90.00
Space group C2/m (No. 12)
One atom of each set of equivalent atoms:
K  0.227  0.000  0.218
Pu  0.000  0.500  0.000
Cl  0.003  0.250  0.244
Cl  0.248  0.500  0.238

Largest 10 diffraction maxima, low angle first, 5° ≤ 2θ ≤ 70°:
- (0 0 1), 2θ = 14.60°, d = 6.068 Å, intensity 100
- (1 1 -1), 2θ = 16.83°, d = 5.268 Å, intensity 32
- (2 0 0), 2θ = 16.97°, d = 5.225 Å, intensity 16
- (0 2 0), 2θ = 23.92°, d = 3.721 Å, intensity 33
- (3 1 -1), 2θ = 24.02°, d = 3.704 Å, intensity 16
- (0 2 1), 2θ = 28.11°, d = 3.175 Å, intensity 41
- (3 1 0), 2θ = 28.28°, d = 3.155 Å, intensity 21
- (2 2 -2), 2θ = 34.03°, d = 2.634 Å, intensity 33
- (4 0 0), 2θ = 34.32°, d = 2.613 Å, intensity 15
- (2 2 -3), 2θ = 44.70°, d = 2.027 Å, intensity 14